For Mn3GeIr, a DFT-relaxed cell (PBE, the Materials Project) gives the simulated powder X-ray diffraction pattern in this record (Cu Kα, 1.54184 Å).
Kinematic intensities with the Lorentz-polarization factor, no thermal factor.

Top 10 peaks for 2θ from 5° to 70°, most intense first:
d = 2.203 Å, 2θ 40.96, intensity 100, (2 2 1)
d = 2.090 Å, 2θ 43.29, intensity 59, (3 0 1)
d = 3.816 Å, 2θ 23.31, intensity 43, (1 1 1)
d = 1.993 Å, 2θ 45.52, intensity 31, (3 1 1)
d = 1.766 Å, 2θ 51.75, intensity 31, (3 1 2)
d = 4.674 Å, 2θ 18.99, intensity 29, (1 1 0)
d = 1.603 Å, 2θ 57.49, intensity 17, (4 1 0)
d = 2.337 Å, 2θ 38.53, intensity 13, (2 2 0)
d = 2.956 Å, 2θ 30.24, intensity 13, (2 1 0)
d = 3.305 Å, 2θ 26.98, intensity 11, (2 0 0)

Cell lengths 6.609, 6.609, 6.609 Å; angles 90.00, 90.00, 90.00 degrees
Fractional coordinates of all 20 atoms:
Mn (0.047, 0.121, 0.794)
Mn (0.121, 0.794, 0.047)
Mn (0.206, 0.547, 0.379)
Mn (0.294, 0.453, 0.879)
Mn (0.379, 0.206, 0.547)
Mn (0.453, 0.879, 0.294)
Mn (0.547, 0.379, 0.206)
Mn (0.621, 0.706, 0.953)
Mn (0.706, 0.953, 0.621)
Mn (0.794, 0.047, 0.121)
Mn (0.879, 0.294, 0.453)
Mn (0.953, 0.621, 0.706)
Ge (0.062, 0.938, 0.438)
Ge (0.438, 0.062, 0.938)
Ge (0.562, 0.562, 0.562)
Ge (0.938, 0.438, 0.062)
Ir (0.190, 0.190, 0.190)
Ir (0.310, 0.810, 0.690)
Ir (0.690, 0.310, 0.810)
Ir (0.810, 0.690, 0.310)